1.
Starting from a crystal structure in Alexandria, relaxed with GGA-PBE, the X-ray diffraction stick pattern of AgHg3 was simulated for Cu Kα X-rays.
Peak positions follow from Bragg's law for the DFT cell and can differ from measured ones.

Structure:
Cell: 10.181 3.429 5.347 Å, 90.00 100.71 90.00°
Sites, in units of the cell vectors:
Ag (0.000, 0.000, 0.000)
Ag (0.500, 0.500, 0.000)
Hg (0.000, 0.500, 0.500)
Hg (0.240, 0.500, 0.236)
Hg (0.260, 0.000, 0.764)
Hg (0.500, 0.000, 0.500)
Hg (0.740, 0.000, 0.236)
Hg (0.760, 0.500, 0.764)

The 12 most intense peaks (2θ from 10° to 90°), low angle first:
2theta, I (rel.)
33.32, 100.0
35.52, 42.7
35.91, 40.2
39.27, 64.8
41.70, 26.2
53.44, 13.4
58.35, 20.3
58.87, 18.3
65.82, 14.3
66.07, 13.7
69.98, 11.4
70.09, 12.0


2.
Starting from a crystal structure in Alexandria, relaxed with GGA-PBE, the X-ray diffraction stick pattern of PmS3O12 was simulated for Cu Kα X-rays.
Peak positions follow from Bragg's law for the DFT cell and can differ from measured ones.

Structure:
Cell: 9.927 9.927 9.927 Å, 50.45 50.45 50.45°
Sites, in units of the cell vectors:
Pm (0.000, 0.000, 0.000)
Pm (0.500, 0.500, 0.500)
S (0.137, 0.777, 0.403)
S (0.277, 0.637, 0.903)
S (0.403, 0.137, 0.777)
S (0.637, 0.903, 0.277)
S (0.777, 0.403, 0.137)
S (0.903, 0.277, 0.637)
O (0.014, 0.066, 0.698)
O (0.024, 0.374, 0.452)
O (0.066, 0.698, 0.014)
O (0.131, 0.827, 0.231)
O (0.198, 0.566, 0.514)
O (0.231, 0.131, 0.827)
O (0.285, 0.826, 0.348)
O (0.326, 0.785, 0.848)
O (0.327, 0.631, 0.731)
O (0.348, 0.285, 0.826)
O (0.374, 0.452, 0.024)
O (0.452, 0.024, 0.374)
O (0.514, 0.198, 0.566)
O (0.524, 0.952, 0.874)
O (0.566, 0.514, 0.198)
O (0.631, 0.731, 0.327)
O (0.698, 0.014, 0.066)
O (0.731, 0.327, 0.631)
O (0.785, 0.848, 0.326)
O (0.826, 0.348, 0.285)
O (0.827, 0.231, 0.131)
O (0.848, 0.326, 0.785)
O (0.874, 0.524, 0.952)
O (0.952, 0.874, 0.524)

The 12 most intense peaks (2θ from 10° to 90°), low angle first:
2theta, I (rel.)
13.88, 100.0
18.27, 31.5
23.41, 31.8
25.26, 9.5
27.98, 18.5
29.55, 33.3
33.08, 13.6
35.24, 12.1
36.79, 17.1
42.96, 18.3
45.16, 11.1
47.88, 10.8


3.
Starting from a crystal structure in Alexandria, relaxed with GGA-PBE, the X-ray diffraction stick pattern of CsBa2AsBr8 was simulated for Cu Kα X-rays.
Peak positions follow from Bragg's law for the DFT cell and can differ from measured ones.

Structure:
Cell: 6.651 7.858 10.039 Å, 87.63 87.58 65.55°
Sites, in units of the cell vectors:
Cs (0.000, 0.000, 0.000)
Ba (0.450, 0.470, 0.255)
Ba (0.550, 0.530, 0.745)
As (0.000, 0.000, 0.500)
Br (0.003, 0.250, 0.306)
Br (0.053, 0.213, 0.685)
Br (0.409, 0.298, 0.978)
Br (0.436, 0.794, 0.470)
Br (0.564, 0.206, 0.530)
Br (0.591, 0.702, 0.022)
Br (0.947, 0.787, 0.315)
Br (0.997, 0.750, 0.694)

The 12 most intense peaks (2θ from 10° to 90°), low angle first:
2theta, I (rel.)
14.76, 81.9
21.38, 37.6
21.92, 43.2
22.83, 64.7
28.56, 100.0
28.66, 22.4
29.52, 80.0
29.89, 93.7
35.82, 38.6
38.44, 33.3
38.68, 33.6
47.18, 25.2


4.
Starting from a crystal structure in Alexandria, relaxed with GGA-PBE, the X-ray diffraction stick pattern of Zn2Cd13 was simulated for Cu Kα X-rays.
Peak positions follow from Bragg's law for the DFT cell and can differ from measured ones.

Structure:
Cell: 5.232 8.526 8.663 Å, 60.82 79.03 84.76°
Sites, in units of the cell vectors:
Zn (0.069, 0.138, 0.107)
Zn (0.931, 0.862, 0.893)
Cd (0.000, 0.000, 0.500)
Cd (0.135, 0.243, 0.722)
Cd (0.200, 0.405, 0.306)
Cd (0.263, 0.523, 0.901)
Cd (0.332, 0.667, 0.492)
Cd (0.398, 0.809, 0.088)
Cd (0.462, 0.923, 0.702)
Cd (0.538, 0.077, 0.298)
Cd (0.602, 0.191, 0.912)
Cd (0.668, 0.333, 0.508)
Cd (0.737, 0.477, 0.099)
Cd (0.800, 0.595, 0.694)
Cd (0.865, 0.757, 0.278)

The 12 most intense peaks (2θ from 10° to 90°), low angle first:
2theta, I (rel.)
32.08, 100.0
33.49, 89.2
37.01, 69.1
38.20, 61.4
39.27, 57.8
39.71, 56.0
43.76, 40.1
50.17, 26.9
58.83, 16.5
60.19, 14.2
60.28, 15.0
63.45, 25.9


5.
Starting from a crystal structure in Alexandria, relaxed with GGA-PBE, the X-ray diffraction stick pattern of Tl4Hg2Se5 was simulated for Cu Kα X-rays.
Peak positions follow from Bragg's law for the DFT cell and can differ from measured ones.

Structure:
Cell: 6.502 6.502 10.853 Å, 99.82 99.82 77.57°
Sites, in units of the cell vectors:
Tl (0.000, 0.000, 0.000)
Tl (0.004, 0.004, 0.494)
Tl (0.241, 0.241, 0.754)
Tl (0.696, 0.696, 0.147)
Hg (0.429, 0.429, 0.294)
Hg (0.594, 0.594, 0.754)
Se (0.155, 0.756, 0.267)
Se (0.381, 0.381, 0.573)
Se (0.477, 0.960, 0.898)
Se (0.756, 0.155, 0.267)
Se (0.960, 0.477, 0.898)

The 12 most intense peaks (2θ from 10° to 90°), low angle first:
2theta, I (rel.)
18.06, 51.1
20.37, 43.2
21.43, 31.9
21.81, 93.8
23.42, 100.0
27.65, 40.2
28.71, 40.8
29.22, 31.4
31.00, 43.9
34.72, 34.0
39.25, 51.1
44.49, 29.4